Entry 1:
# Ce2Ge6Pd
Simulated powder X-ray diffraction pattern, Cu Kα (λ = 1.5418 Å). Input: a GGA-PBE-relaxed structure.

Top 10 peaks for 2θ = 5–70°, by intensity:
h k l, 2θ (°), intensity
1 1 3, 32.9, 100
2 0 0, 43.5, 24
1 0 6, 32.4, 24
0 2 0, 43.9, 24
0 1 9, 42.7, 20
1 1 7, 42.0, 15
2 2 0, 63.6, 15
1 2 6, 55.6, 14
2 1 9, 62.6, 13
0 0 2, 8.0, 13

Cell and atoms:
a b c (Å): 4.1585 4.1220 22.2141
angles (deg): 90.00 90.00 90.00
Space group Amm2 (No. 38)
Inequivalent atoms, fractional coordinates:
Ce  0.0000  0.0000  0.0000 x2
Ce  0.0000  0.0000  0.3339 x2
Ge  0.0000  0.0000  0.6190 x2
Ge  0.0000  0.0000  0.7316 x2
Ge  0.5000  0.0000  0.1199 x2
Ge  0.5000  0.0000  0.2328 x2
Ge  0.5000  0.0000  0.4464 x2
Ge  0.5000  0.0000  0.8792 x2
Pd  0.5000  0.0000  0.5563 x2



Entry 2:
# Ce5Ge2Pd
Simulated powder X-ray diffraction pattern, Cu Kα (λ = 1.5418 Å). Input: a GGA-PBE-relaxed structure.

Top 10 peaks for 2θ = 5–70°, by intensity:
h k l, 2θ (°), intensity
0 3 3, 35.3, 100
1 5 1, 34.4, 45
1 1 3, 34.2, 23
0 1 3, 31.0, 23
0 6 0, 35.5, 17
0 4 2, 31.1, 17
2 0 0, 28.7, 12
3 5 1, 54.5, 12
2 6 2, 50.9, 12
3 1 3, 54.4, 10

Cell and atoms:
a b c (Å): 6.2300 15.1771 8.8213
angles (deg): 90.00 90.00 90.00
Space group Amm2 (No. 38)
Inequivalent atoms, fractional coordinates:
Ce  0.0000  0.0000  0.0000 x2
Ce  0.0000  0.1287  0.6210 x4
Ce  0.2185  0.1642  0.2467 x8
Ce  0.5000  0.0000  0.4832 x2
Ce  0.5000  0.1333  0.8717 x4
Ge  0.0000  0.0000  0.3673 x2
Ge  0.0000  0.1937  0.9399 x4
Ge  0.5000  0.0000  0.1274 x2
Pd  0.5000  0.1931  0.5501 x4



Entry 3:
# CeGePd
Simulated powder X-ray diffraction pattern, Cu Kα (λ = 1.5418 Å). Input: a GGA-PBE-relaxed structure.

Top 10 peaks for 2θ = 5–70°, by intensity:
h k l, 2θ (°), intensity
6 1 1, 34.0, 100
0 1 3, 40.4, 39
0 2 0, 40.2, 24
6 2 2, 53.7, 17
3 1 2, 33.0, 16
9 1 4, 65.4, 10
9 0 1, 39.2, 9
6 3 1, 69.1, 9
12 1 3, 66.6, 8
12 0 0, 50.6, 6

Cell and atoms:
a b c (Å): 21.6617 4.4841 7.7163
angles (deg): 90.00 90.00 90.00
Space group Pnma (No. 62)
Inequivalent atoms, fractional coordinates:
Ce  0.0020  0.2500  0.2201 x4
Ce  0.1662  0.2500  0.2894 x4
Ce  0.1670  0.7500  0.7144 x4
Ge  0.0727  0.2500  0.5902 x4
Ge  0.1020  0.7500  0.0872 x4
Ge  0.2337  0.7500  0.0887 x4
Pd  0.0673  0.7500  0.4161 x4
Pd  0.0927  0.2500  0.9217 x4
Pd  0.2388  0.2500  0.9196 x4



Entry 4:
# CeGe3Pd5
Simulated powder X-ray diffraction pattern, Cu Kα (λ = 1.5418 Å). Input: a GGA-PBE-relaxed structure.

Top 10 peaks for 2θ = 5–70°, by intensity:
h k l, 2θ (°), intensity
3 1 2, 35.2, 100
0 2 0, 43.6, 37
6 1 0, 34.1, 24
5 1 2, 39.5, 19
5 0 2, 32.9, 18
7 1 2, 45.4, 17
9 0 2, 47.2, 15
0 0 4, 49.7, 15
7 0 1, 33.1, 14
8 1 0, 41.6, 11

Cell and atoms:
a b c (Å): 20.3504 4.1503 7.3440
angles (deg): 90.00 90.00 90.00
Space group Pnma (No. 62)
Inequivalent atoms, fractional coordinates:
Ce  0.1445  0.2500  0.1232 x4
Ge  0.0760  0.7500  0.8508 x4
Ge  0.0860  0.7500  0.4057 x4
Ge  0.2383  0.2500  0.6225 x4
Pd  0.0055  0.7500  0.1285 x4
Pd  0.0144  0.2500  0.3792 x4
Pd  0.1159  0.2500  0.6457 x4
Pd  0.1996  0.7500  0.8229 x4
Pd  0.2061  0.7500  0.4267 x4



Entry 5:
# CeGePd
Simulated powder X-ray diffraction pattern, Cu Kα (λ = 1.5418 Å). Input: a GGA-PBE-relaxed structure.

Top 10 peaks for 2θ = 5–70°, by intensity:
h k l, 2θ (°), intensity
3 1 0, 40.6, 100
3 1 -2, 34.2, 90
1 1 -2, 33.6, 84
0 2 0, 40.4, 65
1 1 1, 32.8, 53
4 0 -2, 34.5, 48
0 0 2, 33.4, 46
4 2 -2, 54.2, 26
1 1 3, 64.3, 20
0 2 2, 53.4, 19

Cell and atoms:
a b c (Å): 10.4047 4.4616 7.2659
angles (deg): 90.00 132.34 90.00
Space group C2/m (No. 12)
Inequivalent atoms, fractional coordinates:
Ce  0.0386  0.0000  0.3006 x4
Ge  0.1587  0.5000  0.1005 x4
Pd  0.1780  0.5000  0.7148 x4



Entry 6:
# Ce5Ge2Pd
Simulated powder X-ray diffraction pattern, Cu Kα (λ = 1.5418 Å). Input: a GGA-PBE-relaxed structure.

Top 10 peaks for 2θ = 5–70°, by intensity:
h k l, 2θ (°), intensity
2 1 3, 32.9, 100
3 1 0, 36.3, 50
2 0 4, 35.8, 43
4 1 3, 52.6, 24
2 2 0, 32.4, 24
3 3 4, 57.4, 14
1 1 4, 31.9, 14
0 0 6, 41.5, 13
4 1 1, 48.5, 12
5 1 4, 67.4, 12

Cell and atoms:
a b c (Å): 7.8260 7.8260 13.0420
angles (deg): 90.00 90.00 90.00
Space group I4/mcm (No. 140)
Inequivalent atoms, fractional coordinates:
Ce  0.0000  0.0000  0.0000 x4
Ce  0.1787  0.3213  0.1549 x16
Ge  0.1211  0.3789  0.5000 x8
Pd  0.0000  0.0000  0.2500 x4



Entry 7:
# Ce8GePd24
Simulated powder X-ray diffraction pattern, Cu Kα (λ = 1.5418 Å). Input: a GGA-PBE-relaxed structure.

Top 10 peaks for 2θ = 5–70°, by intensity:
h k l, 2θ (°), intensity
2 2 2, 36.8, 100
4 0 0, 42.8, 52
4 4 0, 62.1, 31
3 2 0, 38.4, 4
2 2 0, 29.9, 4
3 2 2, 44.2, 3
3 3 2, 50.7, 2
3 2 1, 39.9, 2
5 2 0, 58.8, 1
3 3 0, 45.5, 1

Cell and atoms:
a b c (Å): 8.4512 8.4512 8.4512
angles (deg): 90.00 90.00 90.00
Space group Pm-3m (No. 221)
Inequivalent atoms, fractional coordinates:
Ce  0.2495  0.2495  0.2495 x8
Ge  0.0000  0.0000  0.0000 x1
Pd  0.0000  0.0000  0.2984 x6
Pd  0.0000  0.2616  0.5000 x12
Pd  0.2536  0.5000  0.5000 x6



Entry 8:
# CeGePd2
Simulated powder X-ray diffraction pattern, Cu Kα (λ = 1.5418 Å). Input: a GGA-PBE-relaxed structure.

Top 10 peaks for 2θ = 5–70°, by intensity:
h k l, 2θ (°), intensity
1 1 2, 36.0, 100
2 2 0, 34.4, 81
2 2 1, 38.0, 78
3 0 1, 37.8, 69
2 1 1, 30.5, 48
1 3 1, 43.6, 47
1 0 2, 33.6, 41
1 2 1, 32.2, 39
1 2 2, 42.6, 36
4 0 1, 49.1, 27

Cell and atoms:
a b c (Å): 7.8542 6.9811 5.6802
angles (deg): 90.00 90.00 90.00
Space group Pnma (No. 62)
Inequivalent atoms, fractional coordinates:
Ce  0.0430  0.2500  0.1534 x4
Ge  0.1147  0.7500  0.3416 x4
Pd  0.1807  0.0500  0.5894 x8



Entry 9:
# CeGe12Pt4
Simulated powder X-ray diffraction pattern, Cu Kα (λ = 1.5418 Å). Input: a GGA-PBE-relaxed structure.

Top 10 peaks for 2θ = 5–70°, by intensity:
h k l, 2θ (°), intensity
2 2 0, 29.0, 100
4 2 2, 51.3, 85
3 0 1, 32.5, 82
4 0 2, 46.6, 77
2 0 0, 20.4, 51
3 1 2, 38.6, 37
4 3 1, 53.6, 34
6 2 0, 68.0, 31
2 2 2, 35.7, 21
4 0 0, 41.4, 17

Cell and atoms:
a b c (Å): 8.7230 8.7230 8.7230
angles (deg): 90.00 90.00 90.00
Space group Im-3 (No. 204)
Inequivalent atoms, fractional coordinates:
Ce  0.0000  0.0000  0.0000 x2
Ge  0.0000  0.3539  0.1513 x24
Pt  0.2500  0.2500  0.2500 x8



Entry 10:
# CeYGe4Pt4
Simulated powder X-ray diffraction pattern, Cu Kα (λ = 1.5418 Å). Input: a GGA-PBE-relaxed structure.

Top 10 peaks for 2θ = 5–70°, by intensity:
h k l, 2θ (°), intensity
0 2 0, 41.6, 100
1 1 -2, 34.1, 64
1 1 2, 34.2, 63
1 1 -1, 30.4, 45
0 1 3, 33.6, 37
2 2 0, 60.3, 33
1 1 -4, 46.3, 31
1 1 4, 46.6, 30
0 0 2, 17.5, 21
1 0 3, 33.7, 19

Cell and atoms:
a b c (Å): 4.3441 4.3379 10.1479
angles (deg): 90.00 90.42 90.00
Space group Pm (No. 6)
Inequivalent atoms, fractional coordinates:
Ce  0.0000  0.0000  0.0000 x1
Y  0.4990  0.5000  0.4994 x1
Ge  0.0129  0.0000  0.3884 x1
Ge  0.4862  0.0000  0.7515 x1
Ge  0.5155  0.5000  0.1216 x1
Ge  0.9833  0.5000  0.7531 x1
Pt  0.0191  0.5000  0.2547 x1
Pt  0.4854  0.5000  0.8800 x1
Pt  0.5119  0.0000  0.2551 x1
Pt  0.9842  0.0000  0.6275 x1



Entry 11:
# Ce3Ge2Rh2
Simulated powder X-ray diffraction pattern, Cu Kα (λ = 1.5418 Å). Input: a GGA-PBE-relaxed structure.

Top 10 peaks for 2θ = 5–70°, by intensity:
h k l, 2θ (°), intensity
2 1 3, 39.6, 100
1 3 0, 37.0, 86
1 1 4, 33.2, 59
1 2 3, 34.0, 58
0 2 4, 34.9, 50
2 1 0, 33.8, 45
0 0 6, 40.7, 38
3 2 3, 58.2, 24
1 3 6, 56.2, 24
0 2 3, 29.9, 24

Cell and atoms:
a b c (Å): 5.6085 8.0813 13.3091
angles (deg): 90.00 90.00 90.00
Space group Pbcm (No. 57)
Inequivalent atoms, fractional coordinates:
Ce  0.1363  0.2419  0.2500 x4
Ce  0.3441  0.6033  0.0977 x8
Ge  0.1754  0.2500  0.0000 x4
Ge  0.3692  0.6076  0.7500 x4
Rh  0.1213  0.5421  0.5931 x8